The following is a simulated powder XRD pattern of Rb2BaZnF6. It was derived from a PBE-relaxed structure, using a wavelength of 1.5418 Å.
Neutral-atom scattering factors, no anomalous dispersion.

Most intense lines, 2θ from 5° to 70°, in order of rising 2θ:
- d 5.330, 16.6 deg, I = 3
- d 4.616, 19.2 deg, I = 5
- d 3.264, 27.3 deg, I = 100
- d 2.784, 32.2 deg, I = 5
- d 2.665, 33.6 deg, I = 2
- d 2.308, 39.0 deg, I = 39
- d 2.118, 42.7 deg, I = 4
- d 1.885, 48.3 deg, I = 40
- d 1.632, 56.4 deg, I = 24
- d 1.460, 63.8 deg, I = 20

Structure:
```
Rb2BaZnF6
1.0
0.0000 4.6161 4.6161
4.6161 0.0000 4.6161
4.6161 4.6161 0.0000
Rb Ba Zn F
2 1 1 6
Direct
0.2500 0.2500 0.2500
0.7500 0.7500 0.7500
0.0000 0.0000 0.0000
0.5000 0.5000 0.5000
0.2752 0.2752 0.7248
0.2752 0.7248 0.2752
0.2752 0.7248 0.7248
0.7248 0.2752 0.2752
0.7248 0.2752 0.7248
0.7248 0.7248 0.2752
```